Entry 1:
Ti5FeSn3: simulated XRD peak list (a wavelength of 1.5418 Å), based on a PBE-relaxed structure.

Main lines, by intensity (10 to 90 degrees two-theta):
| d [Å] | intensity |
| --- | --- |
| 2.426 | 100 |
| 2.283 | 79 |
| 2.387 | 53 |
| 3.299 | 48 |
| 1.867 | 42 |
| 3.580 | 26 |
| 1.513 | 22 |
| 2.738 | 22 |
| 1.269 | 18 |
| 1.344 | 15 |
| 1.432 | 15 |
| 1.314 | 14 |

Structural model:
Lattice parameters (Å, degrees): 8.2671 8.2671 5.4755 90.00 90.00 120.00
Fractional positions:
1 Ti 0.0000 0.2408 0.2500
2 Ti 0.0000 0.7592 0.7500
3 Ti 0.2408 0.0000 0.2500
4 Ti 0.2408 0.2408 0.7500
5 Ti 0.3333 0.6667 0.0000
6 Ti 0.3333 0.6667 0.5000
7 Ti 0.6667 0.3333 0.0000
8 Ti 0.6667 0.3333 0.5000
9 Ti 0.7592 0.0000 0.7500
10 Ti 0.7592 0.7592 0.2500
11 Fe 0.0000 0.0000 0.0000
12 Fe 0.0000 0.0000 0.5000
13 Sn 0.0000 0.3989 0.7500
14 Sn 0.0000 0.6011 0.2500
15 Sn 0.3989 0.0000 0.7500
16 Sn 0.3989 0.3989 0.2500
17 Sn 0.6011 0.0000 0.2500
18 Sn 0.6011 0.6011 0.7500


Entry 2:
CaAl4Tl4O12: simulated XRD peak list (a wavelength of 1.5418 Å), based on a PBE-relaxed structure.

Main lines, by intensity (10 to 90 degrees two-theta):
| d [Å] | intensity |
| --- | --- |
| 4.404 | 100 |
| 2.788 | 74 |
| 2.663 | 68 |
| 5.111 | 66 |
| 4.161 | 66 |
| 2.594 | 47 |
| 2.747 | 47 |
| 2.465 | 46 |
| 3.745 | 46 |
| 4.030 | 43 |
| 3.625 | 41 |
| 3.705 | 39 |

Structural model:
Lattice parameters (Å, degrees): 5.7388 5.9508 8.9516 83.66 81.63 87.27
Fractional positions:
1 Ca 0.0000 0.0000 0.0000
2 Al 0.0685 0.5846 0.4035
3 Al 0.1058 0.5098 0.7908
4 Al 0.5645 0.3383 0.4737
5 Al 0.5785 0.2951 0.8604
6 Tl 0.0933 0.0686 0.6194
7 Tl 0.3858 0.0521 0.2447
8 Tl 0.6159 0.7791 0.6843
9 Tl 0.6570 0.6002 0.1452
10 O 0.0862 0.4275 0.6061
11 O 0.1246 0.8156 0.2231
12 O 0.2190 0.7877 0.7978
13 O 0.2528 0.2954 0.9052
14 O 0.3539 0.4368 0.3463
15 O 0.4803 0.0419 0.4911
16 O 0.5413 0.4239 0.6582
17 O 0.6341 0.2188 0.0717
18 O 0.7502 0.0445 0.8054
19 O 0.7942 0.5212 0.8643
20 O 0.8374 0.4162 0.3659
21 O 0.9434 0.8217 0.5106


Entry 3:
TmAsS: simulated XRD peak list (a wavelength of 1.5418 Å), based on a PBE-relaxed structure.

Main lines, by intensity (10 to 90 degrees two-theta):
| d [Å] | intensity |
| --- | --- |
| 3.460 | 100 |
| 2.263 | 84 |
| 2.557 | 50 |
| 2.805 | 37 |
| 2.256 | 33 |
| 2.684 | 21 |
| 1.840 | 19 |
| 1.900 | 19 |
| 1.895 | 19 |
| 1.426 | 18 |
| 1.452 | 16 |
| 1.573 | 16 |

Structural model:
Lattice parameters (Å, degrees): 3.7898 3.8009 8.4153 90.00 90.00 90.00
Fractional positions:
1 Tm 0.2500 0.2500 0.2084
2 Tm 0.7500 0.7500 0.7916
3 As 0.2500 0.7500 0.4971
4 As 0.7500 0.2500 0.5029
5 S 0.2500 0.2500 0.8748
6 S 0.7500 0.7500 0.1252


Entry 4:
Rb2NaVCl6: simulated XRD peak list (a wavelength of 1.5418 Å), based on a PBE-relaxed structure.

Main lines, by intensity (10 to 90 degrees two-theta):
| d [Å] | intensity |
| --- | --- |
| 2.582 | 100 |
| 2.982 | 93 |
| 3.652 | 78 |
| 1.826 | 63 |
| 2.108 | 32 |
| 1.557 | 31 |
| 1.155 | 24 |
| 1.491 | 20 |
| 1.380 | 19 |
| 1.633 | 18 |
| 5.963 | 16 |
| 1.185 | 12 |

Structural model:
Lattice parameters (Å, degrees): 7.3035 7.3035 7.3035 60.00 60.00 60.00
Fractional positions:
1 Rb 0.2500 0.2500 0.2500
2 Rb 0.7500 0.7500 0.7500
3 Na 0.0000 0.0000 0.0000
4 V 0.5000 0.5000 0.5000
5 Cl 0.2683 0.2683 0.7317
6 Cl 0.2683 0.7317 0.2683
7 Cl 0.2683 0.7317 0.7317
8 Cl 0.7317 0.2683 0.2683
9 Cl 0.7317 0.2683 0.7317
10 Cl 0.7317 0.7317 0.2683